# Ti5O8
Theoretical XRD peak list, a wavelength of 1.5418 Å. Input: DFT lattice parameters and positions (GGA-PBE).
Neutral-atom scattering factors, no anomalous dispersion.

```
data_Ti5O8
_chemical_formula_sum 'Ti15 O24'
_cell_length_a 5.524
_cell_length_b 9.075
_cell_length_c 9.083
_cell_angle_alpha 68.12
_cell_angle_beta 84.79
_cell_angle_gamma 84.73
_space_group_name_H-M_alt 'P 1'
_space_group_IT_number 1
_space_group_name_Hall 'P 1'
loop_
_atom_site_label
_atom_site_type_symbol
_atom_site_fract_x
_atom_site_fract_y
_atom_site_fract_z
_atom_site_occupancy
Ti1 Ti 0.000 0.000 0.000 1
Ti2 Ti 0.000 0.250 0.253 1
Ti3 Ti 0.001 0.751 0.750 1
Ti4 Ti 0.115 0.151 0.654 1
Ti5 Ti 0.116 0.403 0.905 1
Ti6 Ti 0.125 0.663 0.157 1
Ti7 Ti 0.131 0.897 0.396 1
Ti8 Ti 0.502 0.499 0.001 1
Ti9 Ti 0.503 0.247 0.749 1
Ti10 Ti 0.504 0.000 0.501 1
Ti11 Ti 0.608 0.419 0.397 1
Ti12 Ti 0.610 0.148 0.159 1
Ti13 Ti 0.612 0.893 0.919 1
Ti14 Ti 0.617 0.652 0.647 1
Ti15 Ti 0.998 0.499 0.500 1
O1 O 0.133 0.699 0.361 1
O2 O 0.150 0.106 0.454 1
O3 O 0.153 0.202 0.857 1
O4 O 0.158 0.609 0.953 1
O5 O 0.299 0.861 0.035 1
O6 O 0.306 0.294 0.107 1
O7 O 0.309 0.355 0.547 1
O8 O 0.309 0.794 0.608 1
O9 O 0.451 0.967 0.297 1
O10 O 0.459 0.534 0.199 1
O11 O 0.465 0.041 0.706 1
O12 O 0.465 0.450 0.797 1
O13 O 0.647 0.592 0.468 1
O14 O 0.649 0.107 0.955 1
O15 O 0.651 0.204 0.360 1
O16 O 0.654 0.700 0.858 1
O17 O 0.809 0.292 0.607 1
O18 O 0.809 0.358 0.047 1
O19 O 0.810 0.858 0.544 1
O20 O 0.834 0.793 0.094 1
O21 O 0.957 0.954 0.794 1
O22 O 0.962 0.047 0.202 1
O23 O 0.965 0.546 0.702 1
O24 O 0.967 0.455 0.295 1
```

Peak list (6 most intense, 2θ from 10° to 90°, in order of rising 2θ)
2θ = 23.84°, rel. 69.8, (1 1 -1); 2θ = 32.62°, rel. 89.5, (1 3 1); 2θ = 35.26°, rel. 74.7, (0 2 -2); 2θ = 40.36°, rel. 33.1, (2 -2 0); 2θ = 53.19°, rel. 100.0, (3 -1 1); 2θ = 63.32°, rel. 29.8, (1 1 -5)



# TiO2
Theoretical XRD peak list, a wavelength of 1.5418 Å. Input: DFT lattice parameters and positions (GGA-PBE).
Neutral-atom scattering factors, no anomalous dispersion.

```
data_TiO2
_chemical_formula_sum 'Ti8 O16'
_cell_length_a 5.947
_cell_length_b 5.947
_cell_length_c 9.068
_cell_angle_alpha 90.00
_cell_angle_beta 90.00
_cell_angle_gamma 120.00
_space_group_name_H-M_alt 'P 1'
_space_group_IT_number 1
_space_group_name_Hall 'P 1'
loop_
_atom_site_label
_atom_site_type_symbol
_atom_site_fract_x
_atom_site_fract_y
_atom_site_fract_z
_atom_site_occupancy
Ti1 Ti 0.168 0.336 0.000 1
Ti2 Ti 0.168 0.832 0.000 1
Ti3 Ti 0.333 0.667 0.279 1
Ti4 Ti 0.336 0.168 0.500 1
Ti5 Ti 0.664 0.832 0.000 1
Ti6 Ti 0.667 0.333 0.779 1
Ti7 Ti 0.832 0.168 0.500 1
Ti8 Ti 0.832 0.664 0.500 1
O1 O 0.000 0.000 0.102 1
O2 O 0.000 0.000 0.602 1
O3 O 0.048 0.524 0.127 1
O4 O 0.171 0.342 0.392 1
O5 O 0.171 0.829 0.392 1
O6 O 0.333 0.667 0.888 1
O7 O 0.342 0.171 0.892 1
O8 O 0.476 0.524 0.127 1
O9 O 0.476 0.952 0.127 1
O10 O 0.524 0.048 0.627 1
O11 O 0.524 0.476 0.627 1
O12 O 0.658 0.829 0.392 1
O13 O 0.667 0.333 0.388 1
O14 O 0.829 0.171 0.892 1
O15 O 0.829 0.658 0.892 1
O16 O 0.952 0.476 0.627 1
```

Peak list (6 most intense, 2θ from 10° to 90°, in order of rising 2θ)
2θ = 19.58°, rel. 58.3, (0 0 2); 2θ = 19.82°, rel. 100.0, (1 0 1); 2θ = 36.12°, rel. 39.1, (1 1 2); 2θ = 36.26°, rel. 36.4, (2 0 1); 2θ = 40.28°, rel. 45.4, (2 0 2); 2θ = 46.32°, rel. 53.5, (2 0 3)